This entry pairs a crystal structure of BeIn2Au with its calculated XRD peak list. Radiation: copper Kα. Structure: a crystal structure in Alexandria, relaxed with PBE.
Kinematic intensities with the Lorentz-polarization factor, no thermal factor.

Crystal structure
a = 4.0495 Å, b = 3.8456 Å, c = 5.4209 Å
α = 90.00°, β = 111.17°, γ = 90.00°
Atoms (fractional coordinates):
Be: 0.0000 0.0000 0.0000
In: 0.4303 0.5000 0.8504
In: 0.7368 0.0000 0.4713
Au: 0.1373 0.5000 0.2691

Most intense lines, 2θ = 10–80°, most intense first:
2θ (°)  d/Å  intensity
33.41  2.682  100.0
33.25  2.694  99.4
42.81  2.112  64.6
34.39  2.607  61.5
34.86  2.574  59.6
23.13  3.846  43.9
17.54  5.055  42.4
29.18  3.061  41.9
44.76  2.025  41.2
47.27  1.923  35.1


This entry pairs a crystal structure of ThTeBr3 with its calculated XRD peak list. Radiation: copper Kα. Structure: a crystal structure in Alexandria, relaxed with PBE.
Kinematic intensities with the Lorentz-polarization factor, no thermal factor.

Crystal structure
a = 6.5909 Å, b = 7.1945 Å, c = 8.0165 Å
α = 89.88°, β = 90.00°, γ = 89.31°
Atoms (fractional coordinates):
Th: 0.0000 0.0000 0.0000
Th: 0.5000 0.5000 0.0010
Te: 0.3088 0.7897 0.2529
Te: 0.8088 0.2909 0.7481
Br: 0.1695 0.3148 0.1894
Br: 0.1720 0.6871 0.8014
Br: 0.3148 0.2144 0.7720
Br: 0.6696 0.8157 0.8117
Br: 0.6719 0.1862 0.1996
Br: 0.8148 0.7134 0.2291

Most intense lines, 2θ = 10–80°, most intense first:
2θ (°)  d/Å  intensity
11.04  8.016  100.0
33.47  2.677  43.3
35.26  2.545  30.1
21.48  4.137  27.8
28.95  3.085  25.4
21.29  4.174  21.2
18.14  4.889  17.7
31.76  2.818  15.8
38.50  2.338  14.0
32.02  2.795  13.4


This entry pairs a crystal structure of Hg2BiBr with its calculated XRD peak list. Radiation: copper Kα. Structure: a crystal structure in Alexandria, relaxed with PBE.
Kinematic intensities with the Lorentz-polarization factor, no thermal factor.

Crystal structure
a = 6.3447 Å, b = 6.3486 Å, c = 13.6235 Å
α = 90.00°, β = 117.40°, γ = 90.00°
Atoms (fractional coordinates):
Hg: 0.1190 0.2459 0.1245
Hg: 0.1190 0.7541 0.6245
Hg: 0.3753 0.2648 0.8751
Hg: 0.3753 0.7352 0.3751
Hg: 0.6247 0.2648 0.6249
Hg: 0.6247 0.7352 0.1249
Hg: 0.8810 0.2459 0.3755
Hg: 0.8810 0.7541 0.8755
Bi: 0.3786 0.2395 0.3749
Bi: 0.3786 0.7605 0.8749
Bi: 0.6214 0.2395 0.1251
Bi: 0.6214 0.7605 0.6251
Br: 0.1253 0.2544 0.6253
Br: 0.1253 0.7456 0.1253
Br: 0.8747 0.2544 0.8747
Br: 0.8747 0.7456 0.3747

Most intense lines, 2θ = 10–80°, most intense first:
2θ (°)  d/Å  intensity
28.12  3.173  100.0
29.54  3.024  44.6
40.19  2.244  38.8
41.23  2.189  36.2
50.54  1.806  20.2
50.77  1.798  19.9
41.11  2.196  18.5
41.38  2.182  18.2
58.14  1.587  13.2
73.61  1.287  13.2


This entry pairs a crystal structure of NaLiN with its calculated XRD peak list. Radiation: copper Kα. Structure: a crystal structure in Alexandria, relaxed with PBE.
Kinematic intensities with the Lorentz-polarization factor, no thermal factor.

Crystal structure
a = 5.6351 Å, b = 3.2620 Å, c = 12.8687 Å
α = 90.00°, β = 96.93°, γ = 90.00°
Atoms (fractional coordinates):
Na: 0.2177 0.0000 0.1249
Na: 0.2823 0.5000 0.8751
Na: 0.7177 0.5000 0.1249
Na: 0.7823 0.0000 0.8751
Li: 0.1287 0.5000 0.3669
Li: 0.3713 0.0000 0.6331
Li: 0.6287 0.0000 0.3669
Li: 0.8713 0.5000 0.6331
N: 0.0119 0.0000 0.5471
N: 0.4881 0.5000 0.4529
N: 0.5119 0.5000 0.5471
N: 0.9881 0.0000 0.4529

Most intense lines, 2θ = 10–80°, most intense first:
2θ (°)  d/Å  intensity
33.98  2.638  100.0
20.86  4.258  56.5
33.62  2.666  48.6
13.86  6.387  45.0
39.40  2.287  33.4
27.94  3.194  30.9
32.96  2.717  30.8
56.55  1.627  21.5
31.75  2.818  17.8
40.22  2.242  17.8


This entry pairs a crystal structure of YMnH5 with its calculated XRD peak list. Radiation: copper Kα. Structure: a crystal structure in Alexandria, relaxed with PBE.
Kinematic intensities with the Lorentz-polarization factor, no thermal factor.

Crystal structure
a = 7.4851 Å, b = 4.8080 Å, c = 3.5430 Å
α = 90.00°, β = 117.97°, γ = 90.00°
Atoms (fractional coordinates):
Y: 0.0000 0.0000 0.0000
Y: 0.5000 0.5000 0.0000
Mn: 0.0000 0.5000 0.5000
Mn: 0.5000 0.0000 0.5000
H: 0.0000 0.5000 0.0000
H: 0.1620 0.2436 0.6617
H: 0.1620 0.7564 0.6617
H: 0.3380 0.2564 0.3383
H: 0.3380 0.7436 0.3383
H: 0.5000 0.0000 0.0000
H: 0.6620 0.2564 0.6617
H: 0.6620 0.7436 0.6617
H: 0.8380 0.2436 0.3383
H: 0.8380 0.7564 0.3383

Most intense lines, 2θ = 10–80°, most intense first:
2θ (°)  d/Å  intensity
31.36  2.852  100.0
26.98  3.305  75.3
41.75  2.164  44.7
41.92  2.155  44.1
46.72  1.944  33.6
37.41  2.404  29.6
65.41  1.427  21.9
51.59  1.771  12.7
63.73  1.460  12.0
22.87  3.888  11.2


This entry pairs a crystal structure of Na5In5Sn with its calculated XRD peak list. Radiation: copper Kα. Structure: a crystal structure in Alexandria, relaxed with PBE.
Kinematic intensities with the Lorentz-polarization factor, no thermal factor.

Crystal structure
a = 5.9571 Å, b = 5.9571 Å, c = 10.8475 Å
α = 90.00°, β = 90.00°, γ = 120.00°
Atoms (fractional coordinates):
Na: 0.0000 0.0000 0.0000
Na: 0.3333 0.6667 0.3145
Na: 0.3333 0.6667 0.6855
Na: 0.6667 0.3333 0.1711
Na: 0.6667 0.3333 0.8289
In: 0.0000 0.0000 0.2684
In: 0.0000 0.0000 0.7316
In: 0.3416 0.1708 0.5000
In: 0.8292 0.1708 0.5000
In: 0.8292 0.6584 0.5000
Sn: 0.3333 0.6667 0.0000

Most intense lines, 2θ = 10–80°, most intense first:
2θ (°)  d/Å  intensity
38.65  2.329  100.0
19.05  4.659  78.7
30.18  2.961  51.8
17.19  5.159  45.4
30.00  2.979  39.6
23.80  3.738  36.9
33.03  2.712  36.5
34.78  2.579  34.1
39.19  2.299  33.7
31.14  2.872  31.3